# 1
The following is a theoretical X-ray diffraction stick pattern of TaNbAl. It was derived from a DFT-relaxed cell (PBE, Alexandria), using a wavelength of 1.5418 Å.
Neutral-atom scattering factors, no anomalous dispersion.

Peak list (12 most intense, 5 to 70 degrees two-theta, in order of rising 2θ)
hkl 1 1 1, 22.25°, intensity 75
hkl 0 2 2, 27.90°, intensity 37
hkl 1 3 1, 34.31°, intensity 26
hkl 0 4 0, 36.78°, intensity 53
hkl 1 1 3, 37.57°, intensity 100
hkl 2 2 0, 39.78°, intensity 85
hkl 2 0 2, 41.25°, intensity 13
hkl 1 3 3, 46.12°, intensity 56
hkl 1 5 3, 60.39°, intensity 25
hkl 3 1 3, 64.59°, intensity 20
hkl 2 6 0, 68.26°, intensity 17
hkl 0 2 6, 69.37°, intensity 16

Structure:
Lattice parameters (Å, degrees): 5.1145 9.7745 8.4595 90.00 90.00 90.00
Space group Fdd2 (No. 43)
Asymmetric unit:
Ta 0.0000 0.0000 0.0000 (multiplicity 8)
Nb 0.0000 0.0000 0.3276 (multiplicity 8)
Al 0.0000 0.0000 0.6634 (multiplicity 8)

# 2
The following is a theoretical X-ray diffraction stick pattern of TaIn3Br8. It was derived from a DFT-relaxed cell (PBE, Alexandria), using a wavelength of 1.5418 Å.
Neutral-atom scattering factors, no anomalous dispersion.

Peak list (12 most intense, 5 to 70 degrees two-theta, in order of rising 2θ)
hkl 1 0 1, 13.33°, intensity 38
hkl 0 0 2, 15.10°, intensity 69
hkl 2 0 1, 23.35°, intensity 59
hkl 2 0 2, 26.85°, intensity 100
hkl 2 0 3, 31.89°, intensity 93
hkl 2 0 4, 37.94°, intensity 20
hkl 2 2 0, 38.73°, intensity 59
hkl 2 2 2, 41.79°, intensity 30
hkl 2 0 5, 44.68°, intensity 37
hkl 3 2 1, 49.99°, intensity 17
hkl 4 0 3, 51.01°, intensity 20
hkl 4 2 1, 61.44°, intensity 16

Structure:
Lattice parameters (Å, degrees): 9.2997 9.2997 11.7382 90.00 90.00 120.00
Space group P6_3mc (No. 186)
Asymmetric unit:
Ta 0.3333 0.6667 0.0000 (multiplicity 2)
In 0.1565 0.3131 0.4924 (multiplicity 6)
Br 0.0000 0.0000 0.3250 (multiplicity 2)
Br 0.0744 0.5372 0.8765 (multiplicity 6)
Br 0.2038 0.4076 0.1256 (multiplicity 6)
Br 0.3333 0.6667 0.5827 (multiplicity 2)

# 3
The following is a theoretical X-ray diffraction stick pattern of PmPuCdRu. It was derived from a DFT-relaxed cell (PBE, Alexandria), using a wavelength of 1.5418 Å.
Neutral-atom scattering factors, no anomalous dispersion.

Peak list (12 most intense, 5 to 70 degrees two-theta, in order of rising 2θ)
hkl 0 0 1, 10.53°, intensity 21
hkl 1 0 0, 26.44°, intensity 8
hkl 1 0 1, 28.53°, intensity 9
hkl 0 0 3, 31.96°, intensity 8
hkl 1 0 2, 34.10°, intensity 100
hkl 1 1 0, 37.73°, intensity 46
hkl 1 0 3, 41.94°, intensity 14
hkl 1 1 3, 50.27°, intensity 9
hkl 2 0 0, 54.43°, intensity 16
hkl 1 1 4, 58.58°, intensity 11
hkl 1 0 5, 61.69°, intensity 9
hkl 2 1 2, 65.81°, intensity 30

Structure:
Lattice parameters (Å, degrees): 3.3715 3.3715 8.3997 90.00 90.00 90.00
Space group P4mm (No. 99)
Asymmetric unit:
Pm 0.0000 0.0000 0.0000 (multiplicity 1)
Pu 0.0000 0.0000 0.5847 (multiplicity 1)
Cd 0.5000 0.5000 0.2955 (multiplicity 1)
Ru 0.5000 0.5000 0.7791 (multiplicity 1)

# 4
The following is a theoretical X-ray diffraction stick pattern of Er2Al5Ni5. It was derived from a DFT-relaxed cell (PBE, Alexandria), using a wavelength of 1.5418 Å.
Neutral-atom scattering factors, no anomalous dispersion.

Peak list (12 most intense, 5 to 70 degrees two-theta, in order of rising 2θ)
hkl 1 0 -3, 19.99°, intensity 32
hkl 1 1 1, 24.84°, intensity 56
hkl 1 1 -3, 29.85°, intensity 20
hkl 2 1 2, 32.09°, intensity 26
hkl 3 0 -3, 34.95°, intensity 24
hkl 2 1 -4, 38.09°, intensity 100
hkl 2 0 -6, 40.54°, intensity 20
hkl 4 0 0, 40.67°, intensity 41
hkl 3 1 -3, 41.65°, intensity 30
hkl 3 1 3, 41.75°, intensity 15
hkl 0 2 0, 44.73°, intensity 32
hkl 2 2 6, 61.99°, intensity 22

Structure:
Lattice parameters (Å, degrees): 8.8722 4.0519 15.4035 90.00 90.21 90.00
Space group Pm (No. 6)
Asymmetric unit:
Er 0.0000 0.0000 0.0000 (multiplicity 1)
Er 0.0008 0.0000 0.3345 (multiplicity 1)
Er 0.4861 0.5000 0.1684 (multiplicity 1)
Er 0.4976 0.0000 0.8328 (multiplicity 1)
Er 0.5017 0.0000 0.5061 (multiplicity 1)
Er 0.9935 0.5000 0.6752 (multiplicity 1)
Al 0.0052 0.5000 0.1686 (multiplicity 1)
Al 0.1476 0.0000 0.5216 (multiplicity 1)
Al 0.2440 0.5000 0.9122 (multiplicity 1)
Al 0.2510 0.5000 0.4217 (multiplicity 1)
Al 0.2830 0.0000 0.6755 (multiplicity 1)
Al 0.3435 0.0000 0.0280 (multiplicity 1)
Al 0.3461 0.0000 0.3102 (multiplicity 1)
Al 0.5080 0.5000 0.6678 (multiplicity 1)
Al 0.6428 0.0000 0.0208 (multiplicity 1)
Al 0.6461 0.0000 0.3181 (multiplicity 1)
Al 0.7439 0.5000 0.9214 (multiplicity 1)
Al 0.7514 0.5000 0.4183 (multiplicity 1)
Al 0.7962 0.0000 0.1685 (multiplicity 1)
Al 0.8482 0.0000 0.5303 (multiplicity 1)
Al 0.8558 0.0000 0.8102 (multiplicity 1)
Ni 0.1459 0.0000 0.8191 (multiplicity 1)
Ni 0.1921 0.0000 0.1685 (multiplicity 1)
Ni 0.2185 0.5000 0.0718 (multiplicity 1)
Ni 0.2220 0.5000 0.2635 (multiplicity 1)
Ni 0.2714 0.5000 0.5819 (multiplicity 1)
Ni 0.2791 0.5000 0.7584 (multiplicity 1)
Ni 0.4908 0.5000 0.9863 (multiplicity 1)
Ni 0.4976 0.5000 0.3509 (multiplicity 1)
Ni 0.6953 0.0000 0.6706 (multiplicity 1)
Ni 0.7223 0.5000 0.7650 (multiplicity 1)
Ni 0.7262 0.5000 0.5760 (multiplicity 1)
Ni 0.7692 0.5000 0.0801 (multiplicity 1)
Ni 0.7710 0.5000 0.2584 (multiplicity 1)
Ni 0.9905 0.5000 0.8546 (multiplicity 1)
Ni 0.9987 0.5000 0.4903 (multiplicity 1)

# 5
The following is a theoretical X-ray diffraction stick pattern of C2S3. It was derived from a DFT-relaxed cell (PBE, Alexandria), using a wavelength of 1.5418 Å.
Neutral-atom scattering factors, no anomalous dispersion.

Peak list (12 most intense, 5 to 70 degrees two-theta, in order of rising 2θ)
hkl 1 0 0, 14.00°, intensity 30
hkl 0 1 1, 15.13°, intensity 31
hkl 1 1 0, 18.96°, intensity 100
hkl 0 1 2, 20.78°, intensity 41
hkl 1 1 1, 21.91°, intensity 79
hkl 1 1 2, 27.19°, intensity 40
hkl 0 1 3, 27.83°, intensity 19
hkl 2 0 -2, 29.27°, intensity 24
hkl 1 2 1, 31.33°, intensity 25
hkl 1 2 -2, 32.05°, intensity 17
hkl 1 0 -4, 32.87°, intensity 18
hkl 2 1 -3, 35.59°, intensity 30

Structure:
Lattice parameters (Å, degrees): 6.4984 6.9618 11.1265 90.00 103.16 90.00
Space group P2_1/c (No. 14)
Asymmetric unit:
C 0.0623 0.0007 0.4577 (multiplicity 4)
C 0.2064 0.2238 0.1107 (multiplicity 4)
S 0.0051 0.6699 0.8415 (multiplicity 4)
S 0.2601 0.1727 0.4779 (multiplicity 4)
S 0.3439 0.0431 0.1846 (multiplicity 4)

# 6
The following is a theoretical X-ray diffraction stick pattern of SmY7Er3. It was derived from a DFT-relaxed cell (PBE, Alexandria), using a wavelength of 1.5418 Å.
Neutral-atom scattering factors, no anomalous dispersion.

Peak list (12 most intense, 5 to 70 degrees two-theta, in order of rising 2θ)
hkl 0 1 1, 18.57°, intensity 25
hkl 0 0 2, 18.92°, intensity 28
hkl 1 1 -3, 31.71°, intensity 22
hkl 2 1 0, 31.83°, intensity 100
hkl 2 1 -2, 32.07°, intensity 67
hkl 0 2 0, 32.26°, intensity 61
hkl 2 0 -3, 32.40°, intensity 25
hkl 0 1 3, 32.87°, intensity 73
hkl 2 2 1, 45.99°, intensity 18
hkl 2 2 -3, 46.38°, intensity 25
hkl 2 3 0, 57.23°, intensity 19
hkl 0 3 3, 57.93°, intensity 27

Structure:
Lattice parameters (Å, degrees): 6.9203 5.5500 9.9497 90.00 109.42 90.00
Space group P2/m (No. 10)
Asymmetric unit:
Sm 0.0000 0.0000 0.0000 (multiplicity 1)
Y 0.0000 0.0000 0.5000 (multiplicity 1)
Y 0.1475 0.5000 0.7890 (multiplicity 2)
Y 0.3224 0.5000 0.1400 (multiplicity 2)
Y 0.4237 0.0000 0.3315 (multiplicity 2)
Er 0.2766 0.5000 0.4965 (multiplicity 2)
Er 0.5000 0.0000 0.0000 (multiplicity 1)

# 7
The following is a theoretical X-ray diffraction stick pattern of La2Th2Pt15. It was derived from a DFT-relaxed cell (PBE, Alexandria), using a wavelength of 1.5418 Å.
Neutral-atom scattering factors, no anomalous dispersion.

Peak list (12 most intense, 5 to 70 degrees two-theta, in order of rising 2θ)
hkl 1 1 0, 18.76°, intensity 11
hkl 3 0 0, 32.80°, intensity 24
hkl 0 2 4, 33.56°, intensity 18
hkl 2 2 0, 38.10°, intensity 100
hkl 0 0 6, 38.34°, intensity 25
hkl 2 0 5, 38.76°, intensity 18
hkl 2 2 3, 42.82°, intensity 75
hkl 1 1 6, 43.02°, intensity 23
hkl 3 3 3, 62.11°, intensity 13
hkl 4 1 6, 65.65°, intensity 12
hkl 6 0 0, 68.76°, intensity 22
hkl 0 3 9, 69.20°, intensity 21

Structure:
Lattice parameters (Å, degrees): 9.4592 9.4592 14.0846 90.00 90.00 120.00
Space group R-3m (No. 166, hexagonal axes)
Asymmetric unit:
La 0.0000 0.0000 0.1395 (multiplicity 6)
Th 0.0000 0.0000 0.3914 (multiplicity 6)
Pt 0.0000 0.3117 0.5000 (multiplicity 18)
Pt 0.0000 0.5000 0.0000 (multiplicity 9)
Pt 0.0056 0.5028 0.6547 (multiplicity 18)

# 8
The following is a theoretical X-ray diffraction stick pattern of Ba2InSbTe5. It was derived from a DFT-relaxed cell (PBE, Alexandria), using a wavelength of 1.5418 Å.
Neutral-atom scattering factors, no anomalous dispersion.

Peak list (12 most intense, 5 to 70 degrees two-theta, in order of rising 2θ)
hkl 2 1 0, 22.98°, intensity 13
hkl 3 0 4, 25.63°, intensity 15
hkl 2 1 3, 26.39°, intensity 21
hkl 1 0 6, 26.53°, intensity 57
hkl 3 1 1, 27.41°, intensity 100
hkl 0 1 5, 28.86°, intensity 15
hkl 2 1 5, 31.60°, intensity 50
hkl 0 2 0, 38.83°, intensity 33
hkl 6 0 2, 39.47°, intensity 12
hkl 5 0 6, 41.43°, intensity 15
hkl 4 1 7, 44.50°, intensity 26
hkl 1 2 6, 47.65°, intensity 22

Structure:
Lattice parameters (Å, degrees): 14.0419 4.6381 20.7634 90.00 90.00 90.00
Space group Pnma (No. 62)
Asymmetric unit:
Ba 0.0512 0.2500 0.1336 (multiplicity 4)
Ba 0.0735 0.7500 0.6256 (multiplicity 4)
In 0.1790 0.7500 0.3196 (multiplicity 4)
Sb 0.2312 0.7500 0.9655 (multiplicity 4)
Te 0.0030 0.7500 0.2560 (multiplicity 4)
Te 0.0907 0.2500 0.9648 (multiplicity 4)
Te 0.1039 0.7500 0.4490 (multiplicity 4)
Te 0.2055 0.7500 0.7978 (multiplicity 4)
Te 0.2408 0.7500 0.1048 (multiplicity 4)